Diffraction record for Ag7IF5. The powder diffractogram is calculated, not measured: it uses DFT lattice parameters and positions (PBE) and CuKα.
Intensities are scaled so that the largest is 100.

Atomic structure:
Lattice parameters (Å, degrees): 3.737 6.451 20.282 90.03 90.07 106.29
Space group P1 (No. 1)
Asymmetric unit:
Ag 0.000 0.000 0.000 (multiplicity 1)
Ag 0.003 0.999 0.501 (multiplicity 1)
Ag 0.045 0.080 0.738 (multiplicity 1)
Ag 0.222 0.425 0.305 (multiplicity 1)
Ag 0.233 0.445 0.443 (multiplicity 1)
Ag 0.343 0.684 0.125 (multiplicity 1)
Ag 0.368 0.727 0.630 (multiplicity 1)
Ag 0.429 0.866 0.889 (multiplicity 1)
Ag 0.596 0.161 0.377 (multiplicity 1)
Ag 0.653 0.304 0.124 (multiplicity 1)
Ag 0.682 0.353 0.619 (multiplicity 1)
Ag 0.781 0.561 0.944 (multiplicity 1)
Ag 0.819 0.633 0.807 (multiplicity 1)
Ag 0.995 0.990 0.245 (multiplicity 1)
I 0.103 0.227 0.869 (multiplicity 1)
I 0.919 0.795 0.374 (multiplicity 1)
F 0.002 0.001 0.124 (multiplicity 1)
F 0.022 0.034 0.621 (multiplicity 1)
F 0.350 0.699 0.018 (multiplicity 1)
F 0.365 0.718 0.232 (multiplicity 1)
F 0.373 0.729 0.521 (multiplicity 1)
F 0.395 0.784 0.738 (multiplicity 1)
F 0.628 0.262 0.016 (multiplicity 1)
F 0.648 0.285 0.233 (multiplicity 1)
F 0.656 0.297 0.513 (multiplicity 1)
F 0.680 0.360 0.726 (multiplicity 1)

Most intense lines, 10° ≤ 2θ ≤ 90°, sorted by position:
index, 2θ/deg, Rel. int.
0 1 -6, 30.12, 65
-1 1 4, 30.64, 45
1 1 1, 32.47, 88
-1 2 1, 32.78, 64
1 1 -2, 33.37, 91
1 -2 2, 33.69, 79
0 2 -4, 33.92, 72
0 0 8, 35.41, 43
0 1 8, 38.37, 45
2 -1 0, 48.76, 100